Theoretical powder diffractogram of Tl6Ni3Br14 for Cu Kα X-rays, from the PBE geometry in Alexandria.
Kinematic intensities with the Lorentz-polarization factor, no thermal factor.

Structural model:
```
data_Tl6Ni3Br14
_chemical_formula_sum 'Tl6 Ni3 Br14'
_symmetry_space_group_name_H-M 'P 3'
_symmetry_Int_Tables_number 143
_cell_length_a 11.8627
_cell_length_b 11.8627
_cell_length_c 6.6644
_cell_angle_alpha 90.00
_cell_angle_beta 90.00
_cell_angle_gamma 120.00
loop_
_symmetry_equiv_pos_as_xyz
'x,y,z'
'-y,x-y,z'
'-x+y,-x,z'
loop_
_atom_site_label
_atom_site_fract_x
_atom_site_fract_y
_atom_site_fract_z
_atom_site_occupancy
Tl1 0.0207 0.4596 0.0000 1
Tl2 0.3097 0.2101 0.5157 1
Ni1 0.0000 0.0000 0.0782 1
Ni2 0.3333 0.6667 0.5822 1
Ni3 0.6667 0.3333 0.7382 1
Br1 0.0000 0.0000 0.7291 1
Br2 0.0703 0.2100 0.1990 1
Br3 0.2015 0.7458 0.7080 1
Br4 0.3333 0.6667 0.2347 1
Br5 0.4634 0.2608 0.9531 1
Br6 0.5328 0.1291 0.5274 1
```

Most intense lines, 2θ = 10–90°, in order of rising 2θ:
| hkl | 2θ (°) | d (Å) | I_rel |
| --- | --- | --- | --- |
| 2 -1 1 | 20.0 | 4.431 | 43 |
| 2 0 1 | 21.8 | 4.068 | 100 |
| 3 -2 1 | 26.6 | 3.355 | 29 |
| 3 0 1 | 29.3 | 3.046 | 51 |
| 3 1 0 | 31.4 | 2.849 | 55 |
| 0 2 2 | 32.0 | 2.796 | 34 |
| 1 3 1 | 34.2 | 2.620 | 81 |
| 2 1 2 | 35.5 | 2.529 | 36 |
| 1 3 2 | 41.7 | 2.166 | 31 |
| 4 1 1 | 42.5 | 2.125 | 27 |

=====

Theoretical powder diffractogram of Tl2NiBr5 for Cu Kα X-rays, from the PBE geometry in Alexandria.
Kinematic intensities with the Lorentz-polarization factor, no thermal factor.

Structural model:
```
data_Tl2NiBr5
_chemical_formula_sum 'Tl4 Ni2 Br10'
_symmetry_space_group_name_H-M 'I 4 m m'
_symmetry_Int_Tables_number 107
_symmetry_space_group_name_Hall 'I 4 -2'
_cell_length_a 7.596
_cell_length_b 7.596
_cell_length_c 9.304
_cell_angle_alpha 90.00
_cell_angle_beta 90.00
_cell_angle_gamma 90.00
loop_
_atom_site_label
_atom_site_fract_x
_atom_site_fract_y
_atom_site_fract_z
_atom_site_occupancy
Tl1 0.000 0.500 0.000 1
Ni1 0.000 0.000 0.233 1
Br1 0.000 0.000 0.970 1
Br2 0.220 0.220 0.265 1
```

Most intense lines, 2θ = 10–90°, in order of rising 2θ:
| hkl | 2θ (°) | d (Å) | I_rel |
| --- | --- | --- | --- |
| 1 0 1 | 15.1 | 5.884 | 21 |
| 1 1 0 | 16.5 | 5.371 | 23 |
| 1 1 2 | 25.3 | 3.516 | 49 |
| 2 0 2 | 30.4 | 2.942 | 100 |
| 2 2 0 | 33.4 | 2.685 | 53 |
| 0 0 4 | 38.7 | 2.326 | 20 |
| 3 1 2 | 42.3 | 2.134 | 27 |
| 4 0 0 | 47.9 | 1.899 | 17 |
| 2 2 4 | 52.0 | 1.758 | 28 |
| 4 2 2 | 57.8 | 1.595 | 26 |

=====

Theoretical powder diffractogram of TlNiBr4 for Cu Kα X-rays, from the PBE geometry in Alexandria.
Kinematic intensities with the Lorentz-polarization factor, no thermal factor.

Structural model:
```
data_TlNiBr4
_chemical_formula_sum 'Tl4 Ni4 Br16'
_symmetry_space_group_name_H-M 'C c c m'
_symmetry_Int_Tables_number 66
_symmetry_space_group_name_Hall '-C 2 2c'
_cell_length_a 10.300
_cell_length_b 13.189
_cell_length_c 7.550
_cell_angle_alpha 90.00
_cell_angle_beta 90.00
_cell_angle_gamma 90.00
loop_
_atom_site_label
_atom_site_fract_x
_atom_site_fract_y
_atom_site_fract_z
_atom_site_occupancy
Tl1 0.250 0.250 0.000 1
Ni1 0.000 0.000 0.250 1
Br1 0.000 0.181 0.250 1
Br2 0.166 0.002 0.500 1
```

Most intense lines, 2θ = 10–90°, in order of rising 2θ:
| hkl | 2θ (°) | d (Å) | I_rel |
| --- | --- | --- | --- |
| 1 1 0 | 10.9 | 8.118 | 100 |
| 1 1 1 | 16.0 | 5.528 | 66 |
| 1 3 1 | 25.0 | 3.564 | 25 |
| 0 4 0 | 27.0 | 3.297 | 20 |
| 2 0 2 | 29.3 | 3.044 | 69 |
| 1 3 2 | 32.4 | 2.761 | 17 |
| 3 1 2 | 36.0 | 2.494 | 21 |
| 4 2 0 | 37.5 | 2.401 | 19 |
| 2 4 2 | 40.3 | 2.237 | 18 |
| 2 6 0 | 44.8 | 2.023 | 14 |

=====

Theoretical powder diffractogram of YNiBr3 for Cu Kα X-rays, from the PBE geometry in Alexandria.
Kinematic intensities with the Lorentz-polarization factor, no thermal factor.

Structural model:
```
data_YNiBr3
_chemical_formula_sum 'Y1 Ni1 Br3'
_symmetry_space_group_name_H-M 'P m -3 m'
_symmetry_Int_Tables_number 221
_symmetry_space_group_name_Hall '-P 4 2 3'
_cell_length_a 4.922
_cell_length_b 4.922
_cell_length_c 4.922
_cell_angle_alpha 90.00
_cell_angle_beta 90.00
_cell_angle_gamma 90.00
loop_
_atom_site_label
_atom_site_fract_x
_atom_site_fract_y
_atom_site_fract_z
_atom_site_occupancy
Y1 0.000 0.000 0.000 1
Ni1 0.500 0.500 0.500 1
Br1 0.000 0.500 0.500 1
```

Most intense lines, 2θ = 10–90°, in order of rising 2θ:
| hkl | 2θ (°) | d (Å) | I_rel |
| --- | --- | --- | --- |
| 1 0 0 | 18.0 | 4.922 | 12 |
| 1 1 0 | 25.6 | 3.480 | 18 |
| 1 1 1 | 31.5 | 2.841 | 91 |
| 2 0 0 | 36.5 | 2.461 | 100 |
| 2 2 0 | 52.6 | 1.740 | 68 |
| 3 1 1 | 62.6 | 1.484 | 37 |
| 2 2 2 | 65.7 | 1.421 | 23 |
| 4 0 0 | 77.6 | 1.230 | 11 |
| 3 3 1 | 86.1 | 1.129 | 16 |
| 4 2 0 | 88.9 | 1.100 | 31 |

=====

Theoretical powder diffractogram of ZrNiBr2 for Cu Kα X-rays, from the PBE geometry in Alexandria.
Kinematic intensities with the Lorentz-polarization factor, no thermal factor.

Structural model:
```
data_ZrNiBr2
_chemical_formula_sum 'Zr2 Ni2 Br4'
_symmetry_space_group_name_H-M 'I m m m'
_symmetry_Int_Tables_number 71
_symmetry_space_group_name_Hall '-I 2 2'
_cell_length_a 3.458
_cell_length_b 4.053
_cell_length_c 15.363
_cell_angle_alpha 90.00
_cell_angle_beta 90.00
_cell_angle_gamma 90.00
loop_
_atom_site_label
_atom_site_fract_x
_atom_site_fract_y
_atom_site_fract_z
_atom_site_occupancy
Zr1 0.000 0.000 0.000 1
Ni1 0.000 0.000 0.500 1
Br1 0.000 0.500 0.360 1
```

Most intense lines, 2θ = 10–90°, in order of rising 2θ:
| hkl | 2θ (°) | d (Å) | I_rel |
| --- | --- | --- | --- |
| 0 0 2 | 11.5 | 7.682 | 100 |
| 0 1 1 | 22.7 | 3.919 | 46 |
| 0 1 3 | 28.1 | 3.178 | 21 |
| 1 0 3 | 31.2 | 2.866 | 34 |
| 0 0 6 | 35.0 | 2.561 | 26 |
| 1 1 2 | 36.1 | 2.489 | 55 |
| 1 1 4 | 41.6 | 2.171 | 98 |
| 0 2 0 | 44.7 | 2.027 | 21 |
| 1 1 10 | 71.1 | 1.327 | 17 |
| 1 3 4 | 80.3 | 1.196 | 14 |

=====

Theoretical powder diffractogram of Rb2NpBr3O3 for Cu Kα X-rays, from the PBE geometry in Alexandria.
Kinematic intensities with the Lorentz-polarization factor, no thermal factor.

Structural model:
```
data_Rb2NpBr3O3
_chemical_formula_sum 'Rb2 Np1 Br3 O3'
_symmetry_space_group_name_H-M 'P -6 2 m'
_symmetry_Int_Tables_number 189
_symmetry_space_group_name_Hall 'P -6 -2'
_cell_length_a 9.4047
_cell_length_b 9.4047
_cell_length_c 3.2349
_cell_angle_alpha 90.00
_cell_angle_beta 90.00
_cell_angle_gamma 120.00
loop_
_atom_site_label
_atom_site_fract_x
_atom_site_fract_y
_atom_site_fract_z
_atom_site_occupancy
Rb1 0.3333 0.6667 0.0000 1
Np1 0.0000 0.0000 0.5000 1
Br1 0.0000 0.3742 0.5000 1
O1 0.0000 0.8508 0.0000 1
```

Most intense lines, 2θ = 10–90°, in order of rising 2θ:
| hkl | 2θ (°) | d (Å) | I_rel |
| --- | --- | --- | --- |
| 1 0 0 | 10.9 | 8.145 | 56 |
| 1 1 0 | 18.9 | 4.702 | 100 |
| 2 0 0 | 21.8 | 4.072 | 30 |
| 1 0 1 | 29.7 | 3.006 | 31 |
| 3 0 0 | 33.0 | 2.715 | 69 |
| 2 0 1 | 35.4 | 2.533 | 50 |
| 2 1 1 | 40.4 | 2.230 | 51 |
| 3 1 1 | 49.2 | 1.852 | 22 |
| 0 0 2 | 56.9 | 1.618 | 41 |
| 3 0 2 | 67.4 | 1.390 | 26 |

=====

Theoretical powder diffractogram of NpTcBr2O6 for Cu Kα X-rays, from the PBE geometry in Alexandria.
Kinematic intensities with the Lorentz-polarization factor, no thermal factor.

Structural model:
```
data_NpTcBr2O6
_chemical_formula_sum 'Np1 Tc1 Br2 O6'
_symmetry_space_group_name_H-M 'P -1'
_symmetry_Int_Tables_number 2
_cell_length_a 5.644
_cell_length_b 5.735
_cell_length_c 6.448
_cell_angle_alpha 103.46
_cell_angle_beta 92.47
_cell_angle_gamma 93.01
loop_
_symmetry_equiv_pos_as_xyz
'x,y,z'
'-x,-y,-z'
loop_
_atom_site_label
_atom_site_fract_x
_atom_site_fract_y
_atom_site_fract_z
_atom_site_occupancy
Np1 0.000 0.000 0.000 1
Tc1 0.500 0.500 0.000 1
Br1 0.375 0.348 0.606 1
O1 0.058 0.965 0.723 1
O2 0.263 0.268 0.070 1
O3 0.282 0.718 0.022 1
```

Most intense lines, 2θ = 10–90°, in order of rising 2θ:
| hkl | 2θ (°) | d (Å) | I_rel |
| --- | --- | --- | --- |
| 0 0 1 | 14.1 | 6.261 | 66 |
| 1 -1 0 | 21.7 | 4.091 | 100 |
| 1 0 1 | 21.8 | 4.072 | 25 |
| 1 1 0 | 23.2 | 3.836 | 35 |
| 0 1 1 | 23.8 | 3.745 | 18 |
| 1 1 -1 | 24.7 | 3.610 | 52 |
| 0 0 2 | 28.5 | 3.131 | 28 |
| 0 2 -1 | 32.0 | 2.801 | 30 |
| 2 -1 1 | 36.9 | 2.434 | 19 |
| 2 -2 0 | 44.3 | 2.046 | 17 |

=====

Theoretical powder diffractogram of NpTlPbBr6 for Cu Kα X-rays, from the PBE geometry in Alexandria.
Kinematic intensities with the Lorentz-polarization factor, no thermal factor.

Structural model:
```
data_NpTlPbBr6
_chemical_formula_sum 'Np2 Tl2 Pb2 Br12'
_symmetry_space_group_name_H-M 'P -3 1 c'
_symmetry_Int_Tables_number 163
_symmetry_space_group_name_Hall '-P 3 2c'
_cell_length_a 7.7479
_cell_length_b 7.7479
_cell_length_c 14.1279
_cell_angle_alpha 90.00
_cell_angle_beta 90.00
_cell_angle_gamma 120.00
loop_
_atom_site_label
_atom_site_fract_x
_atom_site_fract_y
_atom_site_fract_z
_atom_site_occupancy
Np1 0.3333 0.6667 0.2500 1
Tl1 0.0000 0.0000 0.0000 1
Pb1 0.3333 0.6667 0.7500 1
Br1 0.0155 0.3699 0.1332 1
```

Most intense lines, 2θ = 10–90°, in order of rising 2θ:
| hkl | 2θ (°) | d (Å) | I_rel |
| --- | --- | --- | --- |
| 1 0 2 | 18.2 | 4.865 | 100 |
| 1 1 0 | 23.0 | 3.874 | 25 |
| 1 1 2 | 26.2 | 3.397 | 51 |
| 2 0 2 | 29.5 | 3.031 | 29 |
| 1 1 4 | 34.4 | 2.610 | 91 |
| 2 1 2 | 37.7 | 2.387 | 35 |
| 3 0 0 | 40.3 | 2.237 | 45 |
| 4 -2 4 | 54.0 | 1.698 | 24 |
| 3 0 8 | 67.6 | 1.386 | 18 |
| 4 1 4 | 69.5 | 1.353 | 22 |